Diffraction record for La4Mn4O11. The powder X-ray diffraction pattern is theoretical, not measured: it uses a crystal structure in the Materials Project, relaxed with GGA+U and CuKα.
No peak broadening, texture or thermal motion is included.

Top 10 peaks for 2θ from 5° to 70°, low angle first:
d/Å, 2θ (°), Rel. int., (hkl)
3.990, 22.28, 22, 0 2 0
2.897, 30.86, 31, 2 0 0
2.864, 31.23, 66, 0 2 2
2.820, 31.73, 100, 2 0 -4
2.304, 39.09, 14, 2 2 -4
2.053, 44.12, 17, 0 0 4
1.998, 45.39, 18, 0 4 0
1.990, 45.59, 18, 4 0 -4
1.645, 55.90, 28, 2 2 -6
1.630, 56.44, 14, 2 4 -4

Structure:
Cell lengths 7.964, 7.992, 11.286 Å; angles 90.00, 133.32, 90.00 degrees
Positions (direct):
La1 0.000 0.008 0.000
La2 0.000 0.992 0.500
La3 0.418 0.486 0.474
La4 0.418 0.514 0.974
La5 0.507 0.010 0.021
La6 0.507 0.990 0.521
La7 0.889 0.484 0.956
La8 0.889 0.516 0.456
Mn1 0.456 0.242 0.740
Mn2 0.456 0.251 0.239
Mn3 0.456 0.749 0.739
Mn4 0.456 0.758 0.240
Mn5 0.956 0.249 0.739
Mn6 0.956 0.751 0.239
Mn7 0.957 0.249 0.239
Mn8 0.957 0.751 0.739
O1 0.150 0.303 0.192
O2 0.150 0.697 0.692
O3 0.256 0.208 0.983
O4 0.256 0.792 0.483
O5 0.257 0.199 0.506
O6 0.257 0.801 0.006
O7 0.408 0.012 0.767
O8 0.408 0.988 0.267
O9 0.467 0.482 0.705
O10 0.467 0.518 0.205
O11 0.622 0.297 0.968
O12 0.622 0.703 0.468
O13 0.690 0.310 0.495
O14 0.690 0.690 0.995
O15 0.755 0.202 0.280
O16 0.755 0.798 0.780
O17 0.763 0.210 0.797
O18 0.763 0.790 0.297
O19 0.929 0.004 0.175
O20 0.929 0.996 0.675
O21 0.992 0.496 0.298
O22 0.992 0.504 0.798

=====

Diffraction record for LiMnSiO4. The powder X-ray diffraction pattern is theoretical, not measured: it uses a crystal structure in the Materials Project, relaxed with GGA+U and CuKα.
No peak broadening, texture or thermal motion is included.

Top 10 peaks for 2θ from 5° to 70°, low angle first:
d/Å, 2θ (°), Rel. int., (hkl)
5.102, 17.38, 100, 2 0 0
4.342, 20.45, 27, 1 1 0
3.966, 22.42, 25, 2 0 1
2.775, 32.26, 31, 3 1 0
2.551, 35.18, 68, 1 1 2
2.340, 38.47, 16, 2 1 2
2.083, 43.45, 16, 3 1 2
1.878, 48.48, 14, 5 1 0
1.788, 51.08, 24, 2 2 2
1.497, 62.01, 16, 6 0 2

Structure:
Cell lengths 10.204, 4.799, 6.304 Å; angles 90.00, 90.00, 90.00 degrees
Positions (direct):
Li1 0.219 0.042 0.000
Li2 0.281 0.542 0.500
Li3 0.719 0.458 0.000
Li4 0.781 0.958 0.500
Mn1 0.000 0.500 0.252
Mn2 0.000 0.500 0.752
Mn3 0.500 0.000 0.252
Mn4 0.500 0.000 0.752
Si1 0.091 0.093 0.502
Si2 0.409 0.593 0.002
Si3 0.591 0.407 0.502
Si4 0.909 0.907 0.002
O1 0.058 0.743 0.002
O2 0.092 0.757 0.502
O3 0.148 0.241 0.721
O4 0.148 0.242 0.284
O5 0.352 0.741 0.221
O6 0.352 0.742 0.784
O7 0.408 0.257 0.002
O8 0.442 0.243 0.502
O9 0.558 0.757 0.002
O10 0.592 0.743 0.502
O11 0.648 0.258 0.284
O12 0.648 0.259 0.721
O13 0.852 0.758 0.784
O14 0.852 0.759 0.221
O15 0.908 0.243 0.002
O16 0.942 0.257 0.502

=====

Diffraction record for Li9Mn2Co5O16. The powder X-ray diffraction pattern is theoretical, not measured: it uses a crystal structure in the Materials Project, relaxed with GGA+U and CuKα.
No peak broadening, texture or thermal motion is included.

Top 10 peaks for 2θ from 5° to 70°, low angle first:
d/Å, 2θ (°), Rel. int., (hkl)
4.861, 18.25, 100, 1 0 -2
2.525, 35.56, 12, 3 0 2
2.498, 35.95, 27, 2 1 0
2.402, 37.43, 10, 1 1 2
2.105, 42.97, 26, 2 0 4
2.078, 43.56, 55, 3 1 -2
1.919, 47.36, 9, 0 1 4
1.606, 57.36, 10, 4 1 -4
1.484, 62.59, 14, 1 1 -6
1.473, 63.11, 13, 5 1 2

Structure:
Cell lengths 9.773, 2.922, 10.338 Å; angles 90.00, 99.96, 90.00 degrees
Positions (direct):
Li1 0.000 0.000 0.000
Li2 0.001 0.000 0.478
Li3 0.241 0.500 0.589
Li4 0.243 0.000 0.361
Li5 0.243 0.500 0.134
Li6 0.482 0.000 0.728
Li7 0.494 0.000 0.239
Li8 0.747 0.500 0.364
Li9 0.750 0.500 0.865
Mn1 0.495 0.500 0.986
Mn2 0.738 0.000 0.612
Co1 0.014 0.500 0.254
Co2 0.240 0.000 0.859
Co3 0.473 0.500 0.469
Co4 0.757 0.000 0.118
Co5 0.995 0.500 0.736
O1 0.109 0.000 0.681
O2 0.111 0.500 0.418
O3 0.113 0.000 0.177
O4 0.123 0.500 0.912
O5 0.370 0.500 0.817
O6 0.378 0.000 0.548
O7 0.383 0.500 0.305
O8 0.384 0.000 0.040
O9 0.604 0.000 0.929
O10 0.621 0.500 0.155
O11 0.622 0.000 0.445
O12 0.633 0.500 0.671
O13 0.852 0.500 0.561
O14 0.860 0.500 0.053
O15 0.867 0.000 0.784
O16 0.869 0.000 0.292

=====

> Which formula does entry 2 have?

LiMnSiO4

=====

Copy entry 3 word for word.
Diffraction record for Li9Mn2Co5O16. The powder X-ray diffraction pattern is theoretical, not measured: it uses a crystal structure in the Materials Project, relaxed with GGA+U and CuKα.
No peak broadening, texture or thermal motion is included.

Top 10 peaks for 2θ from 5° to 70°, low angle first:
d/Å, 2θ (°), Rel. int., (hkl)
4.861, 18.25, 100, 1 0 -2
2.525, 35.56, 12, 3 0 2
2.498, 35.95, 27, 2 1 0
2.402, 37.43, 10, 1 1 2
2.105, 42.97, 26, 2 0 4
2.078, 43.56, 55, 3 1 -2
1.919, 47.36, 9, 0 1 4
1.606, 57.36, 10, 4 1 -4
1.484, 62.59, 14, 1 1 -6
1.473, 63.11, 13, 5 1 2

Structure:
Cell lengths 9.773, 2.922, 10.338 Å; angles 90.00, 99.96, 90.00 degrees
Positions (direct):
Li1 0.000 0.000 0.000
Li2 0.001 0.000 0.478
Li3 0.241 0.500 0.589
Li4 0.243 0.000 0.361
Li5 0.243 0.500 0.134
Li6 0.482 0.000 0.728
Li7 0.494 0.000 0.239
Li8 0.747 0.500 0.364
Li9 0.750 0.500 0.865
Mn1 0.495 0.500 0.986
Mn2 0.738 0.000 0.612
Co1 0.014 0.500 0.254
Co2 0.240 0.000 0.859
Co3 0.473 0.500 0.469
Co4 0.757 0.000 0.118
Co5 0.995 0.500 0.736
O1 0.109 0.000 0.681
O2 0.111 0.500 0.418
O3 0.113 0.000 0.177
O4 0.123 0.500 0.912
O5 0.370 0.500 0.817
O6 0.378 0.000 0.548
O7 0.383 0.500 0.305
O8 0.384 0.000 0.040
O9 0.604 0.000 0.929
O10 0.621 0.500 0.155
O11 0.622 0.000 0.445
O12 0.633 0.500 0.671
O13 0.852 0.500 0.561
O14 0.860 0.500 0.053
O15 0.867 0.000 0.784
O16 0.869 0.000 0.292

=====

Copy entry 2 word for word.
Diffraction record for LiMnSiO4. The powder X-ray diffraction pattern is theoretical, not measured: it uses a crystal structure in the Materials Project, relaxed with GGA+U and CuKα.
No peak broadening, texture or thermal motion is included.

Top 10 peaks for 2θ from 5° to 70°, low angle first:
d/Å, 2θ (°), Rel. int., (hkl)
5.102, 17.38, 100, 2 0 0
4.342, 20.45, 27, 1 1 0
3.966, 22.42, 25, 2 0 1
2.775, 32.26, 31, 3 1 0
2.551, 35.18, 68, 1 1 2
2.340, 38.47, 16, 2 1 2
2.083, 43.45, 16, 3 1 2
1.878, 48.48, 14, 5 1 0
1.788, 51.08, 24, 2 2 2
1.497, 62.01, 16, 6 0 2

Structure:
Cell lengths 10.204, 4.799, 6.304 Å; angles 90.00, 90.00, 90.00 degrees
Positions (direct):
Li1 0.219 0.042 0.000
Li2 0.281 0.542 0.500
Li3 0.719 0.458 0.000
Li4 0.781 0.958 0.500
Mn1 0.000 0.500 0.252
Mn2 0.000 0.500 0.752
Mn3 0.500 0.000 0.252
Mn4 0.500 0.000 0.752
Si1 0.091 0.093 0.502
Si2 0.409 0.593 0.002
Si3 0.591 0.407 0.502
Si4 0.909 0.907 0.002
O1 0.058 0.743 0.002
O2 0.092 0.757 0.502
O3 0.148 0.241 0.721
O4 0.148 0.242 0.284
O5 0.352 0.741 0.221
O6 0.352 0.742 0.784
O7 0.408 0.257 0.002
O8 0.442 0.243 0.502
O9 0.558 0.757 0.002
O10 0.592 0.743 0.502
O11 0.648 0.258 0.284
O12 0.648 0.259 0.721
O13 0.852 0.758 0.784
O14 0.852 0.759 0.221
O15 0.908 0.243 0.002
O16 0.942 0.257 0.502